Entry 1:
Theoretical powder XRD pattern of PbWO4 for Cu Kα, from DFT lattice parameters and positions (GGA+U).
Peak positions follow from Bragg's law for the DFT cell and can differ from measured ones.

Peak list (6 most intense, 10 to 90 degrees two-theta, by angle)
27.50°, I 1000, (2 0 0)
27.64°, I 616, (2 0 -4)
27.76°, I 412, (0 0 4)
28.41°, I 986, (1 2 0)
30.93°, I 332, (1 2 -3)
34.77°, I 309, (1 2 -4)

Cell and atoms:
```
data_PbWO4
_chemical_formula_sum 'Pb8 W8 O32'
_cell_length_a 7.496
_cell_length_b 7.181
_cell_length_c 14.839
_cell_angle_alpha 90.00
_cell_angle_beta 119.99
_cell_angle_gamma 90.00
_symmetry_space_group_name_H-M 'P 1 21/c 1'
_symmetry_Int_Tables_number 14
_symmetry_space_group_name_Hall '-P 2ybc'
loop_
_atom_site_label
_atom_site_type_symbol
_atom_site_fract_x
_atom_site_fract_y
_atom_site_fract_z
_atom_site_occupancy
Pb1 Pb 0.015 0.203 0.346 1
Pb2 Pb 0.480 0.039 0.854 1
W1 W 0.002 0.667 0.419 1
W2 W 0.434 0.042 0.587 1
O1 O 0.139 0.577 0.581 1
O2 O 0.152 0.248 0.716 1
O3 O 0.167 0.622 0.976 1
O4 O 0.179 0.516 0.396 1
O5 O 0.223 0.230 0.551 1
O6 O 0.352 0.691 0.830 1
O7 O 0.410 0.584 0.187 1
O8 O 0.413 0.142 0.444 1
```

Entry 2:
Theoretical powder XRD pattern of MgNbV3O8 for Cu Kα, from DFT lattice parameters and positions (GGA+U).
Peak positions follow from Bragg's law for the DFT cell and can differ from measured ones.

Peak list (6 most intense, 10 to 90 degrees two-theta, by angle)
13.35°, I 611, (0 0 1)
14.66°, I 1000, (2 0 0)
23.35°, I 759, (1 1 0)
28.06°, I 475, (1 1 1)
40.81°, I 468, (0 0 3)
45.17°, I 458, (0 2 0)

Cell and atoms:
```
data_MgNbV3O8
_chemical_formula_sum 'Mg2 Nb2 V6 O16'
_cell_length_a 12.631
_cell_length_b 4.014
_cell_length_c 6.935
_cell_angle_alpha 90.00
_cell_angle_beta 106.95
_cell_angle_gamma 90.00
_symmetry_space_group_name_H-M 'C 1 m 1'
_symmetry_Int_Tables_number 8
_symmetry_space_group_name_Hall 'C -2y'
loop_
_atom_site_label
_atom_site_type_symbol
_atom_site_fract_x
_atom_site_fract_y
_atom_site_fract_z
_atom_site_occupancy
Mg1 Mg 0.000 0.000 0.000 1
Nb1 Nb 0.026 0.500 0.327 1
V1 V 0.132 0.000 0.734 1
V2 V 0.217 0.000 0.311 1
V3 V 0.418 0.000 0.676 1
O1 O 0.044 0.000 0.312 1
O2 O 0.082 0.500 0.640 1
O3 O 0.165 0.000 0.015 1
O4 O 0.186 0.500 0.325 1
O5 O 0.259 0.000 0.627 1
O6 O 0.382 0.000 0.368 1
O7 O 0.462 0.500 0.707 1
O8 O 0.466 0.000 0.021 1
```

Entry 3:
Theoretical powder XRD pattern of Mn5Fe3O16 for Cu Kα, from DFT lattice parameters and positions (GGA+U).
Peak positions follow from Bragg's law for the DFT cell and can differ from measured ones.

Peak list (6 most intense, 10 to 90 degrees two-theta, by angle)
19.97°, I 882, (0 0 2)
20.18°, I 1000, (1 1 1)
36.85°, I 643, (4 0 1)
47.33°, I 331, (4 0 3)
63.48°, I 369, (6 2 0)
63.72°, I 293, (0 4 0)

Cell and atoms:
```
data_Mn5Fe3O16
_chemical_formula_sum 'Mn10 Fe6 O32'
_cell_length_a 10.165
_cell_length_b 5.844
_cell_length_c 8.900
_cell_angle_alpha 90.00
_cell_angle_beta 90.62
_cell_angle_gamma 90.00
_symmetry_space_group_name_H-M 'C 1 m 1'
_symmetry_Int_Tables_number 8
_symmetry_space_group_name_Hall 'C -2y'
loop_
_atom_site_label
_atom_site_type_symbol
_atom_site_fract_x
_atom_site_fract_y
_atom_site_fract_z
_atom_site_occupancy
Mn1 Mn 0.000 0.000 0.000 1
Mn2 Mn 0.002 0.500 0.225 1
Mn3 Mn 0.165 0.500 0.500 1
Mn4 Mn 0.417 0.251 0.724 1
Fe1 Fe 0.168 0.000 0.720 1
Fe2 Fe 0.251 0.250 0.221 1
O1 O 0.070 0.219 0.854 1
O2 O 0.090 0.286 0.357 1
O3 O 0.162 0.000 0.114 1
O4 O 0.162 0.500 0.112 1
O5 O 0.250 0.252 0.614 1
O6 O 0.310 0.500 0.361 1
O7 O 0.336 0.000 0.830 1
O8 O 0.337 0.000 0.329 1
O9 O 0.354 0.500 0.852 1
O10 O 0.419 0.250 0.112 1
O11 O 0.495 0.500 0.614 1
O12 O 0.497 0.000 0.614 1
```

Entry 4:
Theoretical powder XRD pattern of FeO2 for Cu Kα, from DFT lattice parameters and positions (GGA+U).
Peak positions follow from Bragg's law for the DFT cell and can differ from measured ones.

Peak list (6 most intense, 10 to 90 degrees two-theta, by angle)
18.35°, I 1000, (1 0 1)
35.03°, I 258, (2 1 1)
42.33°, I 356, (2 2 0)
44.91°, I 141, (0 0 4)
56.08°, I 105, (3 2 1)
63.41°, I 164, (2 2 4)

Cell and atoms:
```
data_FeO2
_chemical_formula_sum 'Fe8 O16'
_cell_length_a 6.039
_cell_length_b 6.039
_cell_length_c 8.074
_cell_angle_alpha 90.00
_cell_angle_beta 90.00
_cell_angle_gamma 90.00
_symmetry_space_group_name_H-M 'I 41/a m d'
_symmetry_Int_Tables_number 141
loop_
_symmetry_equiv_pos_as_xyz
'x,y,z'
'-x,-y,-z'
'-y+1/4,x+3/4,z+1/4'
'y+1/4,-x+3/4,-z+1/4'
'-x+1/2,-y,z+1/2'
'x+1/2,y,-z+1/2'
'y+1/4,-x+1/4,z+3/4'
'-y+1/4,x+1/4,-z+3/4'
'x,-y,-z'
'-x,y,z'
'-y+1/4,-x+1/4,-z+3/4'
'y+1/4,x+1/4,z+3/4'
'-x+1/2,y,-z+1/2'
'x+1/2,-y,z+1/2'
'y+1/4,x+3/4,-z+1/4'
'-y+1/4,-x+3/4,z+1/4'
'x+1/2,y+1/2,z+1/2'
'-x+1/2,-y+1/2,-z+1/2'
'-y+3/4,x+1/4,z+3/4'
'y+3/4,-x+1/4,-z+3/4'
'-x,-y+1/2,z'
'x,y+1/2,-z'
'y+3/4,-x+3/4,z+1/4'
'-y+3/4,x+3/4,-z+1/4'
'x+1/2,-y+1/2,-z+1/2'
'-x+1/2,y+1/2,z+1/2'
'-y+3/4,-x+3/4,-z+1/4'
'y+3/4,x+3/4,z+1/4'
'-x,y+1/2,-z'
'x,-y+1/2,z'
'y+3/4,x+1/4,-z+3/4'
'-y+3/4,-x+1/4,z+3/4'
loop_
_atom_site_label
_atom_site_type_symbol
_atom_site_fract_x
_atom_site_fract_y
_atom_site_fract_z
_atom_site_occupancy
Fe1 Fe 0.000 0.000 0.000 1
O1 O 0.000 0.026 0.769 1
```

Entry 5:
Theoretical powder XRD pattern of Ba3La7MnCo9O30 for Cu Kα, from DFT lattice parameters and positions (GGA+U).
Peak positions follow from Bragg's law for the DFT cell and can differ from measured ones.

Peak list (6 most intense, 10 to 90 degrees two-theta, by angle)
32.22°, I 255, (0 2 0)
32.29°, I 253, (2 0 -4)
32.44°, I 1000, (2 1 1)
39.93°, I 254, (3 0 -1)
46.26°, I 329, (2 2 -4)
57.59°, I 194, (0 3 5)

Cell and atoms:
```
data_Ba3La7MnCo9O30
_chemical_formula_sum 'Ba3 La7 Mn1 Co9 O30'
_cell_length_a 6.770
_cell_length_b 5.556
_cell_length_c 16.080
_cell_angle_alpha 90.00
_cell_angle_beta 98.58
_cell_angle_gamma 90.00
_symmetry_space_group_name_H-M 'P 1 2/m 1'
_symmetry_Int_Tables_number 10
_symmetry_space_group_name_Hall '-P 2y'
loop_
_atom_site_label
_atom_site_type_symbol
_atom_site_fract_x
_atom_site_fract_y
_atom_site_fract_z
_atom_site_occupancy
Ba1 Ba 0.000 0.000 0.000 1
Ba2 Ba 0.297 0.500 0.899 1
La1 La 0.105 0.500 0.300 1
La2 La 0.202 0.000 0.602 1
La3 La 0.396 0.000 0.198 1
La4 La 0.500 0.500 0.500 1
Mn1 Mn 0.500 0.000 0.000 1
Co1 Co 0.000 0.500 0.500 1
Co2 Co 0.102 0.000 0.801 1
Co3 Co 0.204 0.500 0.101 1
Co4 Co 0.298 0.000 0.401 1
Co5 Co 0.397 0.500 0.697 1
O1 O 0.000 0.500 0.000 1
O2 O 0.068 0.248 0.164 1
O3 O 0.102 0.000 0.307 1
O4 O 0.150 0.256 0.452 1
O5 O 0.209 0.500 0.598 1
O6 O 0.248 0.245 0.739 1
O7 O 0.308 0.000 0.894 1
O8 O 0.356 0.239 0.057 1
O9 O 0.395 0.500 0.211 1
O10 O 0.456 0.256 0.354 1
O11 O 0.500 0.000 0.500 1
```

Entry 6:
Theoretical powder XRD pattern of HoWBrO4 for Cu Kα, from DFT lattice parameters and positions (GGA+U).
Peak positions follow from Bragg's law for the DFT cell and can differ from measured ones.

Peak list (6 most intense, 10 to 90 degrees two-theta, by angle)
13.50°, I 233, (1 0 0)
24.52°, I 1000, (0 2 -1)
25.68°, I 486, (1 0 2)
27.19°, I 309, (2 0 0)
30.74°, I 254, (-1 1 3)
33.05°, I 251, (1 1 -4)

Cell and atoms:
```
data_HoWBrO4
_chemical_formula_sum 'Ho4 W4 Br4 O16'
_cell_length_a 6.987
_cell_length_b 7.299
_cell_length_c 11.020
_cell_angle_alpha 103.82
_cell_angle_beta 108.00
_cell_angle_gamma 94.29
_symmetry_space_group_name_H-M 'P -1'
_symmetry_Int_Tables_number 2
_symmetry_space_group_name_Hall '-P 1'
loop_
_atom_site_label
_atom_site_type_symbol
_atom_site_fract_x
_atom_site_fract_y
_atom_site_fract_z
_atom_site_occupancy
Ho1 Ho 0.119 0.340 0.233 1
Ho2 Ho 0.158 0.112 0.731 1
W1 W 0.229 0.814 0.133 1
W2 W 0.269 0.590 0.626 1
Br1 Br 0.237 0.996 0.481 1
Br2 Br 0.309 0.280 0.018 1
O1 O 0.099 0.016 0.183 1
O2 O 0.136 0.636 0.201 1
O3 O 0.155 0.790 0.703 1
O4 O 0.158 0.730 0.955 1
O5 O 0.164 0.502 0.446 1
O6 O 0.224 0.403 0.700 1
O7 O 0.460 0.347 0.331 1
O8 O 0.497 0.123 0.795 1
```

Entry 7:
Theoretical powder XRD pattern of Li2NiBO4 for Cu Kα, from DFT lattice parameters and positions (GGA+U).
Peak positions follow from Bragg's law for the DFT cell and can differ from measured ones.

Peak list (6 most intense, 10 to 90 degrees two-theta, by angle)
13.90°, I 1000, (1 0 0)
19.30°, I 264, (0 1 1)
24.33°, I 316, (0 1 2)
27.23°, I 865, (1 1 -2)
31.36°, I 332, (2 0 -2)
35.16°, I 492, (1 1 3)

Cell and atoms:
```
data_Li2NiBO4
_chemical_formula_sum 'Li8 Ni4 B4 O16'
_cell_length_a 6.403
_cell_length_b 5.116
_cell_length_c 10.540
_cell_angle_alpha 90.00
_cell_angle_beta 95.74
_cell_angle_gamma 90.00
_symmetry_space_group_name_H-M 'P 1 21/c 1'
_symmetry_Int_Tables_number 14
_symmetry_space_group_name_Hall '-P 2ybc'
loop_
_atom_site_label
_atom_site_type_symbol
_atom_site_fract_x
_atom_site_fract_y
_atom_site_fract_z
_atom_site_occupancy
Li1 Li 0.099 0.151 0.293 1
Li2 Li 0.220 0.171 0.570 1
Ni1 Ni 0.499 0.645 0.654 1
B1 B 0.195 0.678 0.439 1
O1 O 0.052 0.697 0.859 1
O2 O 0.247 0.088 0.921 1
O3 O 0.292 0.693 0.046 1
O4 O 0.382 0.148 0.215 1
```

Entry 8:
Theoretical powder XRD pattern of Li9Mn2Co5O16 for Cu Kα, from DFT lattice parameters and positions (GGA+U).
Peak positions follow from Bragg's law for the DFT cell and can differ from measured ones.

Peak list (6 most intense, 10 to 90 degrees two-theta, by angle)
18.30°, I 1000, (0 1 0)
35.16°, I 163, (1 0 -4)
42.28°, I 301, (1 1 -4)
43.76°, I 274, (2 -2 0)
44.56°, I 251, (1 1 4)
62.47°, I 153, (-3 1 4)

Cell and atoms:
```
data_Li9Mn2Co5O16
_chemical_formula_sum 'Li9 Mn2 Co5 O16'
_cell_length_a 5.064
_cell_length_b 5.121
_cell_length_c 11.733
_cell_angle_alpha 91.21
_cell_angle_beta 92.13
_cell_angle_gamma 108.70
_symmetry_space_group_name_H-M 'P 1'
_symmetry_Int_Tables_number 1
_symmetry_space_group_name_Hall 'P 1'
loop_
_atom_site_label
_atom_site_type_symbol
_atom_site_fract_x
_atom_site_fract_y
_atom_site_fract_z
_atom_site_occupancy
Li1 Li 0.000 0.000 0.000 1
Li2 Li 0.000 0.001 0.248 1
Li3 Li 0.011 0.008 0.738 1
Li4 Li 0.022 0.015 0.483 1
Li5 Li 0.506 0.004 0.610 1
Li6 Li 0.506 0.005 0.870 1
Li7 Li 0.517 0.009 0.356 1
Li8 Li 0.517 0.021 0.126 1
Li9 Li 0.519 0.509 0.240 1
Mn1 Mn 0.504 0.505 0.741 1
Mn2 Mn 0.510 0.507 0.995 1
Co1 Co 0.004 0.503 0.867 1
Co2 Co 0.006 0.503 0.609 1
Co3 Co 0.014 0.512 0.365 1
Co4 Co 0.024 0.517 0.128 1
Co5 Co 0.512 0.507 0.482 1
O1 O 0.247 0.736 0.489 1
O2 O 0.251 0.763 0.233 1
O3 O 0.253 0.725 0.981 1
O4 O 0.260 0.285 0.372 1
O5 O 0.261 0.728 0.736 1
O6 O 0.273 0.274 0.622 1
O7 O 0.273 0.288 0.860 1
O8 O 0.274 0.284 0.100 1
O9 O 0.734 0.724 0.625 1
O10 O 0.741 0.726 0.868 1
O11 O 0.746 0.742 0.106 1
O12 O 0.752 0.285 0.995 1
O13 O 0.758 0.286 0.750 1
O14 O 0.765 0.261 0.501 1
O15 O 0.773 0.731 0.374 1
O16 O 0.792 0.278 0.247 1
```